1.
UH2O4: calculated X-ray powder pattern (λ = 1.5418 Å (Cu Kα)), based on a crystal structure in the Materials Project, relaxed with GGA-PBE.

Structure:
```
UH2O4
1.0
5.4912 0.0000 0.0000
0.0000 5.3181 0.0000
-2.0074 0.0000 5.7685
U H O
2 4 8
Direct
0.0000 0.0000 0.0000
0.0000 0.5000 0.5000
0.4719 0.1928 0.8592
0.4719 0.3072 0.3592
0.5281 0.6928 0.6408
0.5281 0.8072 0.1408
0.1447 0.2173 0.8052
0.1447 0.2827 0.3052
0.3411 0.6831 0.6269
0.3411 0.8169 0.1269
0.6589 0.1831 0.8731
0.6589 0.3169 0.3731
0.8553 0.7173 0.6948
0.8553 0.7827 0.1948
```

Top 10 peaks for 2θ = 10–90°, by intensity:
d_spacing	2theta	I/Imax
3.910	22.74	100
5.186	17.10	84
3.522	25.29	68
2.833	31.58	37
1.760	51.94	29
2.366	38.03	23
2.424	37.09	22
2.969	30.10	22
1.955	46.45	17
2.884	31.01	16

2.
SrMg6ZnO8: calculated X-ray powder pattern (λ = 1.5418 Å (Cu Kα)), based on a crystal structure in the Materials Project, relaxed with GGA-PBE.

Structure:
```
SrMg6ZnO8
1.0
4.4915 0.0000 0.0000
0.0000 4.4915 0.0000
0.0000 0.0000 8.7362
Sr Mg Zn O
1 6 1 8
Direct
0.0000 0.0000 0.0000
0.0000 0.0000 0.5000
0.0000 0.5000 0.2603
0.0000 0.5000 0.7397
0.5000 0.0000 0.2603
0.5000 0.0000 0.7397
0.5000 0.5000 0.5000
0.5000 0.5000 0.0000
0.0000 0.0000 0.2729
0.0000 0.0000 0.7271
0.0000 0.5000 0.0000
0.0000 0.5000 0.5000
0.5000 0.0000 0.0000
0.5000 0.0000 0.5000
0.5000 0.5000 0.2545
0.5000 0.5000 0.7455
```

Top 10 peaks for 2θ = 10–90°, by intensity:
d_spacing	2theta	I/Imax
2.246	40.15	100
8.736	10.13	59
1.566	58.99	55
2.569	34.93	50
2.184	41.34	44
1.588	58.09	30
2.985	29.94	27
1.284	73.77	26
4.368	20.33	18
1.351	69.60	17

3.
BiF3: calculated X-ray powder pattern (λ = 1.5418 Å (Cu Kα)), based on a crystal structure in the Materials Project, relaxed with GGA-PBE.

Structure:
```
BiF3
1.0
4.1239 0.0000 0.0000
-2.0620 3.5714 0.0000
0.0000 0.0000 7.0280
Bi F
2 6
Direct
0.3333 0.6667 0.2500
0.6667 0.3333 0.7500
0.0000 0.0000 0.2500
0.0000 0.0000 0.7500
0.3333 0.6667 0.5790
0.3333 0.6667 0.9210
0.6667 0.3333 0.0790
0.6667 0.3333 0.4210
```

Top 10 peaks for 2θ = 10–90°, by intensity:
d_spacing	2theta	I/Imax
3.184	28.02	100
1.959	46.35	44
2.062	43.91	40
3.514	25.35	34
1.778	51.38	31
3.571	24.93	27
1.731	52.90	19
1.170	82.47	17
1.326	71.12	16
1.420	65.75	15

4.
Na2Lu3Te4I3O12: calculated X-ray powder pattern (λ = 1.5418 Å (Cu Kα)), based on a crystal structure in the Materials Project, relaxed with GGA-PBE.

Structure:
```
Na2Lu3Te4I3O12
1.0
9.3179 0.0000 0.0000
0.0000 5.5668 0.0000
-0.0622 0.0000 16.7519
Na Lu Te I O
4 6 8 6 24
Direct
0.2024 0.2397 0.4136
0.2024 0.7603 0.9136
0.7976 0.2397 0.0864
0.7976 0.7603 0.5864
0.4988 0.2464 0.5852
0.4988 0.7536 0.0852
0.5000 0.2527 0.2500
0.5000 0.7473 0.7500
0.5012 0.2464 0.9148
0.5012 0.7536 0.4148
0.2512 0.2934 0.7668
0.2512 0.7066 0.2668
0.2554 0.2130 0.0657
0.2554 0.7870 0.5657
0.7446 0.2130 0.4343
0.7446 0.7870 0.9343
0.7488 0.2934 0.7332
0.7488 0.7066 0.2332
0.0000 0.2410 0.2500
0.0000 0.7590 0.7500
0.0058 0.2553 0.5835
0.0058 0.7447 0.0835
0.9942 0.2553 0.9165
0.9942 0.7447 0.4165
0.3436 0.4907 0.3409
0.3436 0.5093 0.8409
0.3481 0.0070 0.4929
0.3481 0.9930 0.9929
0.3675 0.0426 0.8120
0.3675 0.9574 0.3120
0.3735 0.4239 0.6852
0.3737 0.4583 0.0207
0.3737 0.5417 0.5207
0.3735 0.5761 0.1852
0.3819 0.0833 0.1454
0.3819 0.9167 0.6454
0.6181 0.0833 0.3546
0.6181 0.9167 0.8546
0.6265 0.4239 0.8148
0.6263 0.4583 0.4793
0.6263 0.5417 0.9793
0.6265 0.5761 0.3148
0.6325 0.0426 0.6880
0.6325 0.9574 0.1880
0.6519 0.0070 0.0071
0.6519 0.9930 0.5071
0.6564 0.4907 0.1591
0.6564 0.5093 0.6591
```

Top 10 peaks for 2θ = 10–90°, by intensity:
d_spacing	2theta	I/Imax
3.010	29.68	100
1.786	51.14	18
2.783	32.16	15
1.971	46.05	15
2.792	32.06	15
1.648	55.77	14
2.329	38.65	10
1.646	55.84	7
3.942	22.55	7
1.792	50.96	7

5.
VCrGeC: calculated X-ray powder pattern (λ = 1.5418 Å (Cu Kα)), based on a crystal structure in the Materials Project, relaxed with GGA-PBE.

Structure:
```
VCrGeC
1.0
2.9662 0.0000 0.0000
-1.4831 2.5688 0.0000
0.0000 0.0000 12.1583
V Cr Ge C
2 2 2 2
Direct
0.3333 0.6667 0.0894
0.6667 0.3333 0.9106
0.3333 0.6667 0.4163
0.6667 0.3333 0.5837
0.3333 0.6667 0.7434
0.6667 0.3333 0.2566
0.0000 0.0000 0.0000
0.0000 0.0000 0.5000
```

Top 10 peaks for 2θ = 10–90°, by intensity:
d_spacing	2theta	I/Imax
2.170	41.63	100
1.196	80.24	27
2.569	34.93	22
1.483	62.64	20
2.026	44.72	15
1.224	78.05	14
1.591	57.97	14
2.366	38.03	3
2.513	35.72	2
1.284	73.77	2

6.
WN2: calculated X-ray powder pattern (λ = 1.5418 Å (Cu Kα)), based on a crystal structure in the Materials Project, relaxed with GGA-PBE.

Structure:
```
WN2
1.0
5.0184 0.0000 0.0000
0.0000 5.0184 0.0000
0.0000 0.0000 5.0184
W N
4 8
Direct
0.0000 0.0000 0.0000
0.0000 0.5000 0.5000
0.5000 0.0000 0.5000
0.5000 0.5000 0.0000
0.1495 0.6495 0.8505
0.1495 0.8505 0.3505
0.3505 0.1495 0.8505
0.3505 0.3505 0.3505
0.6495 0.6495 0.6495
0.6495 0.8505 0.1495
0.8505 0.1495 0.6495
0.8505 0.3505 0.1495
```

Top 9 peaks for 2θ = 10–90°, by intensity:
d_spacing	2theta	I/Imax
2.897	30.86	100
1.513	61.26	50
2.509	35.79	49
1.774	51.51	40
1.122	86.79	19
1.151	84.07	18
1.449	64.30	13
1.255	75.83	5
2.244	40.18	1

7.
Nd5Te2Cl3O10: calculated X-ray powder pattern (λ = 1.5418 Å (Cu Kα)), based on a crystal structure in the Materials Project, relaxed with GGA-PBE.

Structure:
```
Nd5Te2Cl3O10
1.0
6.4078 -2.8542 0.0000
6.4078 2.8542 0.0000
-0.0628 0.0000 10.2439
Nd Te Cl O
5 2 3 10
Direct
0.0000 0.0000 0.0000
0.2905 0.2905 0.1046
0.3973 0.3973 0.7686
0.6027 0.6027 0.2314
0.7095 0.7095 0.8954
0.0837 0.0837 0.6722
0.9163 0.9163 0.3278
0.1631 0.1631 0.3513
0.5000 0.5000 0.5000
0.8369 0.8369 0.6487
0.1073 0.6006 0.9421
0.1920 0.7068 0.2040
0.2242 0.2242 0.7182
0.2932 0.8080 0.7960
0.3994 0.8927 0.0579
0.6006 0.1073 0.9421
0.7068 0.1920 0.2040
0.7758 0.7758 0.2818
0.8080 0.2932 0.7960
0.8927 0.3994 0.0579
```

Top 10 peaks for 2θ = 10–90°, by intensity:
d_spacing	2theta	I/Imax
2.858	31.30	100
3.240	27.53	92
1.970	46.08	38
3.658	24.33	28
1.721	53.23	24
2.724	32.88	23
1.649	55.75	14
1.621	56.81	14
1.713	53.49	14
2.070	43.74	14

What did the fifth record say?
VCrGeC: calculated X-ray powder pattern (λ = 1.5418 Å (Cu Kα)), based on a crystal structure in the Materials Project, relaxed with GGA-PBE.

Structure:
```
VCrGeC
1.0
2.9662 0.0000 0.0000
-1.4831 2.5688 0.0000
0.0000 0.0000 12.1583
V Cr Ge C
2 2 2 2
Direct
0.3333 0.6667 0.0894
0.6667 0.3333 0.9106
0.3333 0.6667 0.4163
0.6667 0.3333 0.5837
0.3333 0.6667 0.7434
0.6667 0.3333 0.2566
0.0000 0.0000 0.0000
0.0000 0.0000 0.5000
```

Top 10 peaks for 2θ = 10–90°, by intensity:
d_spacing	2theta	I/Imax
2.170	41.63	100
1.196	80.24	27
2.569	34.93	22
1.483	62.64	20
2.026	44.72	15
1.224	78.05	14
1.591	57.97	14
2.366	38.03	3
2.513	35.72	2
1.284	73.77	2